AcTmZnRh: calculated powder XRD pattern (λ = 1.5418 Å (Cu Kα)), based on a DFT-relaxed cell (GGA-PBE, Alexandria).

Principal peaks in the range 15° ≤ 2θ ≤ 90°, sorted by position:
21.2 deg, rel. 3; 24.5 deg, rel. 17; 34.9 deg, rel. 100; 41.2 deg, rel. 2; 43.1 deg, rel. 5; 50.2 deg, rel. 18; 56.6 deg, rel. 7; 62.5 deg, rel. 37; 73.7 deg, rel. 11; 79.0 deg, rel. 4; 84.2 deg, rel. 16; 89.3 deg, rel. 2

Structure:
```
AcTmZnRh
1.0
7.275 0.000 0.000
0.000 7.275 0.000
0.000 0.000 7.275
Ac Tm Zn Rh
4 4 4 4
Direct
0.000 0.000 0.000
0.000 0.500 0.500
0.500 0.000 0.500
0.500 0.500 0.000
0.000 0.000 0.500
0.000 0.500 0.000
0.500 0.000 0.000
0.500 0.500 0.500
0.250 0.250 0.750
0.250 0.750 0.250
0.750 0.250 0.250
0.750 0.750 0.750
0.250 0.250 0.250
0.250 0.750 0.750
0.750 0.250 0.750
0.750 0.750 0.250
```

AcSnS2O: calculated powder XRD pattern (λ = 1.5418 Å (Cu Kα)), based on a DFT-relaxed cell (GGA-PBE, Alexandria).

Principal peaks in the range 15° ≤ 2θ ≤ 90°, sorted by position:
25.3 deg, rel. 100; 26.0 deg, rel. 24; 29.3 deg, rel. 24; 30.9 deg, rel. 61; 34.1 deg, rel. 20; 40.8 deg, rel. 38; 44.3 deg, rel. 27; 45.4 deg, rel. 16; 50.9 deg, rel. 16; 51.7 deg, rel. 34; 52.0 deg, rel. 15; 65.3 deg, rel. 14

Structure:
```
AcSnS2O
1.0
4.093 0.000 0.000
0.000 4.093 0.000
0.000 0.000 13.718
Ac Sn S O
2 2 4 2
Direct
0.250 0.250 0.099
0.750 0.750 0.901
0.250 0.250 0.613
0.750 0.750 0.387
0.250 0.250 0.399
0.250 0.250 0.791
0.750 0.750 0.209
0.750 0.750 0.601
0.250 0.750 0.000
0.750 0.250 0.000
```

YAgPd6: calculated powder XRD pattern (λ = 1.5418 Å (Cu Kα)), based on a DFT-relaxed cell (GGA-PBE, Alexandria).

Principal peaks in the range 15° ≤ 2θ ≤ 90°, sorted by position:
26.1 deg, rel. 29; 29.4 deg, rel. 69; 33.1 deg, rel. 15; 37.9 deg, rel. 51; 38.4 deg, rel. 46; 41.5 deg, rel. 100; 49.6 deg, rel. 16; 50.7 deg, rel. 43; 52.2 deg, rel. 15; 70.9 deg, rel. 25; 74.9 deg, rel. 17; 78.0 deg, rel. 15

Structure:
```
YAgPd6
1.0
3.675 2.122 3.413
-3.675 2.122 3.413
0.000 -4.243 3.413
Y Ag Pd
1 1 6
Direct
0.000 0.000 0.000
0.500 0.500 0.500
0.161 0.161 0.531
0.161 0.531 0.161
0.469 0.839 0.839
0.531 0.161 0.161
0.839 0.469 0.839
0.839 0.839 0.469
```

KSi2Sb: calculated powder XRD pattern (λ = 1.5418 Å (Cu Kα)), based on a DFT-relaxed cell (GGA-PBE, Alexandria).

Principal peaks in the range 15° ≤ 2θ ≤ 90°, sorted by position:
21.2 deg, rel. 22; 22.5 deg, rel. 41; 26.4 deg, rel. 45; 27.0 deg, rel. 55; 30.1 deg, rel. 38; 30.3 deg, rel. 100; 35.6 deg, rel. 55; 38.7 deg, rel. 25; 39.1 deg, rel. 20; 40.5 deg, rel. 67; 43.2 deg, rel. 22; 52.2 deg, rel. 21

Structure:
```
KSi2Sb
1.0
8.546 0.000 0.000
0.000 3.696 0.000
-1.394 0.000 6.912
K Si Sb
2 4 2
Direct
0.000 0.000 0.000
0.500 0.500 0.000
0.261 0.500 0.336
0.460 0.000 0.405
0.761 0.000 0.336
0.960 0.500 0.405
0.222 0.000 0.618
0.722 0.500 0.618
```

SrPt3O4: calculated powder XRD pattern (λ = 1.5418 Å (Cu Kα)), based on a DFT-relaxed cell (GGA-PBE, Alexandria).

Principal peaks in the range 15° ≤ 2θ ≤ 90°, sorted by position:
21.1 deg, rel. 11; 30.1 deg, rel. 10; 33.7 deg, rel. 100; 37.1 deg, rel. 42; 53.4 deg, rel. 19; 55.8 deg, rel. 24; 58.1 deg, rel. 23; 62.5 deg, rel. 15; 70.9 deg, rel. 4; 73.0 deg, rel. 22; 75.0 deg, rel. 5; 88.7 deg, rel. 21

Structure:
```
SrPt3O4
1.0
5.941 0.000 0.000
0.000 5.941 0.000
0.000 0.000 5.941
Sr Pt O
2 6 8
Direct
0.000 0.000 0.000
0.500 0.500 0.500
0.000 0.250 0.500
0.000 0.750 0.500
0.250 0.500 0.000
0.500 0.000 0.250
0.500 0.000 0.750
0.750 0.500 0.000
0.250 0.250 0.250
0.250 0.250 0.750
0.250 0.750 0.250
0.250 0.750 0.750
0.750 0.250 0.250
0.750 0.250 0.750
0.750 0.750 0.250
0.750 0.750 0.750
```

Number 4 is which compound? KSi2Sb

What is the formula in the first record? AcTmZnRh